[1]
Starting from a GGA+U-relaxed structure, the powder diffractogram of MnNbFe2O6 was simulated for CuKα.

Cell and atoms:
```
MnNbFe2O6
1.0
5.204 0.000 0.000
2.566 4.652 0.000
0.218 2.869 4.750
Mn Nb Fe O
1 1 2 6
Cartesian
0.000 0.000 0.000
5.217 6.026 2.365
2.735 4.490 3.024
5.223 3.024 0.591
1.010 1.223 1.357
1.860 2.714 3.760
3.450 3.004 1.604
4.722 4.646 3.748
6.295 4.717 1.359
6.977 6.102 3.854
```

Peak list (10 most intense, 10° ≤ 2θ ≤ 80°, sorted by position)
22.33 deg, I 29.8
30.82 deg, I 100.0
32.29 deg, I 69.8
32.40 deg, I 70.4
33.60 deg, I 70.5
33.77 deg, I 63.8
34.51 deg, I 58.9
45.57 deg, I 35.6
47.14 deg, I 34.5
59.67 deg, I 40.9

=====

[2]
Starting from a GGA+U-relaxed structure, the powder diffractogram of NbTl2VO6 was simulated for CuKα.

Cell and atoms:
```
NbTl2VO6
1.0
-2.867 2.867 3.961
2.867 -2.867 3.961
2.867 2.867 -3.961
Nb Tl V O
1 2 1 6
Cartesian
0.000 0.000 0.000
2.867 0.000 1.980
0.000 2.867 1.980
0.000 0.000 3.961
1.430 1.430 0.000
1.437 -1.437 3.961
0.000 0.000 2.072
0.000 0.000 5.849
-1.437 1.437 3.961
1.437 1.437 3.961
```

Peak list (10 most intense, 10° ≤ 2θ ≤ 80°, sorted by position)
21.93 deg, I 20.9
22.45 deg, I 9.9
31.20 deg, I 51.5
31.58 deg, I 100.0
38.78 deg, I 27.2
44.71 deg, I 29.8
45.82 deg, I 13.8
55.77 deg, I 41.1
56.48 deg, I 19.7
65.95 deg, I 17.7